Entry 1:
Structure and simulated powder X-ray diffraction pattern of CsCe2AuS4 (a structure optimized by DFT (GGA-PBE); Cu Kα, 1.54184 Å).
Kinematic intensities with the Lorentz-polarization factor, no thermal factor.

Cell and atoms:
Unit cell a=4.2140 b=14.3941 c=14.4158 alpha=90.00 beta=90.00 gamma=90.00
Space group Cmcm (No. 63)
Asymmetric unit:
Cs1 0.0000 0.1129 0.2500 (multiplicity 4)
Ce1 0.0000 0.3695 0.0618 (multiplicity 8)
Au1 0.0000 0.1611 0.7500 (multiplicity 4)
S1 0.0000 0.0000 0.0000 (multiplicity 4)
S2 0.0000 0.2566 0.6009 (multiplicity 8)
S3 0.0000 0.4316 0.2500 (multiplicity 4)

Main lines, by intensity (5 to 70 degrees two-theta):
2θ = 30.85°, intensity 100, (1 3 2)
2θ = 24.73°, intensity 60, (0 4 0)
2θ = 25.25°, intensity 57, (1 1 2)
2θ = 42.42°, intensity 51, (1 5 3)
2θ = 28.86°, intensity 49, (1 3 1)
2θ = 13.75°, intensity 48, (0 2 1)
2θ = 42.92°, intensity 25, (2 0 0)
2θ = 37.43°, intensity 24, (0 0 6)
2θ = 33.48°, intensity 21, (0 2 5)
2θ = 12.29°, intensity 20, (0 0 2)

=====

Entry 2:
Structure and simulated powder X-ray diffraction pattern of CrCuBr (a structure optimized by DFT (GGA-PBE); Cu Kα, 1.54184 Å).
Kinematic intensities with the Lorentz-polarization factor, no thermal factor.

Cell and atoms:
Unit cell a=3.7501 b=5.3646 c=11.4991 alpha=90.00 beta=90.00 gamma=90.00
Space group Fmm2 (No. 42)
Asymmetric unit:
Cr1 0.0000 0.0000 0.0000 (multiplicity 4)
Cu1 0.0000 0.0000 0.6480 (multiplicity 4)
Br1 0.0000 0.0000 0.3427 (multiplicity 4)

Main lines, by intensity (5 to 70 degrees two-theta):
2θ = 37.51°, intensity 100, (1 1 3)
2θ = 33.41°, intensity 37, (0 2 0)
2θ = 62.43°, intensity 21, (1 3 3)
2θ = 60.22°, intensity 12, (2 2 0)
2θ = 48.55°, intensity 12, (2 0 0)
2θ = 47.44°, intensity 10, (0 0 6)
2θ = 59.26°, intensity 10, (0 2 6)
2θ = 30.10°, intensity 6, (1 1 1)
2θ = 31.11°, intensity 4, (0 0 4)
2θ = 64.30°, intensity 4, (1 1 7)

=====

Entry 3:
Structure and simulated powder X-ray diffraction pattern of Ac14TbSc (a structure optimized by DFT (GGA-PBE); Cu Kα, 1.54184 Å).
Kinematic intensities with the Lorentz-polarization factor, no thermal factor.

Cell and atoms:
Unit cell a=7.8382 b=7.8382 c=11.1488 alpha=90.00 beta=90.00 gamma=90.00
Space group P4/mmm (No. 123)
Asymmetric unit:
Ac1 0.0000 0.0000 0.0000 (multiplicity 1)
Ac2 0.0000 0.5000 0.0000 (multiplicity 2)
Ac3 0.0000 0.5000 0.5000 (multiplicity 2)
Ac4 0.2483 0.2483 0.2585 (multiplicity 8)
Ac5 0.5000 0.5000 0.0000 (multiplicity 1)
Tb1 0.5000 0.5000 0.5000 (multiplicity 1)
Sc1 0.0000 0.0000 0.5000 (multiplicity 1)

Main lines, by intensity (5 to 70 degrees two-theta):
2θ = 27.83°, intensity 100, (2 0 2)
2θ = 32.30°, intensity 34, (2 2 0)
2θ = 54.91°, intensity 31, (4 2 2)
2θ = 46.19°, intensity 25, (2 2 4)
2θ = 32.11°, intensity 17, (0 0 4)
2θ = 54.67°, intensity 15, (2 0 6)
2θ = 57.49°, intensity 13, (4 0 4)
2θ = 46.33°, intensity 13, (4 0 0)
2θ = 67.61°, intensity 4, (4 4 0)
2θ = 67.17°, intensity 2, (0 0 8)